(1)
This entry pairs a crystal structure of AcP2Pd5Pb with its calculated XRD peak list. Radiation: copper Kα. Structure: a crystal structure in Alexandria, relaxed with PBE.

Cell: 4.241 4.241 9.344 Å, 90.00 90.00 90.00°
Atoms (fractional coordinates):
Ac  0.000  0.000  0.000
P  0.500  0.500  0.162
P  0.500  0.500  0.838
Pd  0.000  0.500  0.282
Pd  0.000  0.500  0.718
Pd  0.500  0.000  0.282
Pd  0.500  0.000  0.718
Pd  0.500  0.500  0.500
Pb  0.000  0.000  0.500

Peak list (6 most intense, 10° ≤ 2θ ≤ 90°, by intensity)
2θ/deg  d (Å)  intensity
35.57  2.524  100
42.64  2.121  39
28.42  3.140  26
73.46  1.289  24
58.81  1.570  18
38.54  2.336  16

(2)
This entry pairs a crystal structure of Ac3P6Pd20 with its calculated XRD peak list. Radiation: copper Kα. Structure: a crystal structure in Alexandria, relaxed with PBE.

Cell: 8.856 8.856 8.856 Å, 60.00 60.00 60.00°
Atoms (fractional coordinates):
Ac  0.000  0.000  0.000
Ac  0.250  0.250  0.250
Ac  0.750  0.750  0.750
P  0.265  0.265  0.735
P  0.265  0.735  0.265
P  0.265  0.735  0.735
P  0.735  0.265  0.265
P  0.735  0.265  0.735
P  0.735  0.735  0.265
Pd  0.000  0.000  0.348
Pd  0.000  0.000  0.652
Pd  0.000  0.348  0.000
Pd  0.000  0.348  0.652
Pd  0.000  0.652  0.000
Pd  0.000  0.652  0.348
Pd  0.163  0.612  0.612
Pd  0.348  0.000  0.000
Pd  0.348  0.000  0.652
Pd  0.348  0.652  0.000
Pd  0.388  0.388  0.388
Pd  0.388  0.388  0.837
Pd  0.388  0.837  0.388
Pd  0.612  0.163  0.612
Pd  0.612  0.612  0.163
Pd  0.612  0.612  0.612
Pd  0.652  0.000  0.000
Pd  0.652  0.000  0.348
Pd  0.652  0.348  0.000
Pd  0.837  0.388  0.388

Peak list (6 most intense, 10° ≤ 2θ ≤ 90°, by intensity)
2θ/deg  d (Å)  intensity
37.31  2.410  100
35.10  2.557  48
40.75  2.214  38
62.97  1.476  37
31.96  2.801  28
74.18  1.278  20

(3)
This entry pairs a crystal structure of AcP3Pd5 with its calculated XRD peak list. Radiation: copper Kα. Structure: a crystal structure in Alexandria, relaxed with PBE.

Cell: 6.634 6.634 12.710 Å, 90.00 90.00 145.67°
Atoms (fractional coordinates):
Ac  0.148  0.852  0.750
Ac  0.852  0.148  0.250
P  0.128  0.872  0.250
P  0.390  0.610  0.043
P  0.390  0.610  0.457
P  0.610  0.390  0.543
P  0.610  0.390  0.957
P  0.872  0.128  0.750
Pd  0.000  0.000  0.000
Pd  0.000  0.000  0.500
Pd  0.213  0.787  0.079
Pd  0.213  0.787  0.421
Pd  0.440  0.560  0.645
Pd  0.440  0.560  0.855
Pd  0.560  0.440  0.145
Pd  0.560  0.440  0.355
Pd  0.787  0.213  0.579
Pd  0.787  0.213  0.921

Peak list (6 most intense, 10° ≤ 2θ ≤ 90°, by intensity)
2θ/deg  d (Å)  intensity
31.92  2.803  100
37.12  2.422  50
34.26  2.617  38
25.29  3.522  36
46.37  1.958  31
31.55  2.836  29

(4)
This entry pairs a crystal structure of AcP3Pd7 with its calculated XRD peak list. Radiation: copper Kα. Structure: a crystal structure in Alexandria, relaxed with PBE.

Cell: 8.352 8.352 8.352 Å, 55.39 55.39 55.39°
Atoms (fractional coordinates):
Ac  0.000  0.000  0.000
Ac  0.500  0.500  0.500
P  0.071  0.750  0.429
P  0.250  0.571  0.929
P  0.429  0.071  0.750
P  0.571  0.929  0.250
P  0.750  0.429  0.071
P  0.929  0.250  0.571
Pd  0.082  0.851  0.652
Pd  0.149  0.348  0.918
Pd  0.152  0.351  0.582
Pd  0.250  0.250  0.250
Pd  0.348  0.918  0.149
Pd  0.351  0.582  0.152
Pd  0.418  0.848  0.649
Pd  0.582  0.152  0.351
Pd  0.649  0.418  0.848
Pd  0.652  0.082  0.851
Pd  0.750  0.750  0.750
Pd  0.848  0.649  0.418
Pd  0.851  0.652  0.082
Pd  0.918  0.149  0.348

Peak list (6 most intense, 10° ≤ 2θ ≤ 90°, by intensity)
2θ/deg  d (Å)  intensity
39.34  2.290  100
36.53  2.459  57
31.54  2.836  55
35.59  2.523  53
41.46  2.178  42
45.11  2.010  30

(5)
This entry pairs a crystal structure of Ac2P7Pd12 with its calculated XRD peak list. Radiation: copper Kα. Structure: a crystal structure in Alexandria, relaxed with PBE.

Cell: 9.837 9.837 4.190 Å, 90.00 90.00 120.00°
Atoms (fractional coordinates):
Ac  0.333  0.667  0.250
Ac  0.667  0.333  0.750
P  0.000  0.000  0.000
P  0.107  0.405  0.747
P  0.298  0.893  0.747
P  0.405  0.298  0.253
P  0.595  0.702  0.747
P  0.702  0.107  0.253
P  0.893  0.595  0.253
Pd  0.058  0.624  0.753
Pd  0.104  0.860  0.266
Pd  0.140  0.244  0.266
Pd  0.244  0.104  0.734
Pd  0.376  0.434  0.753
Pd  0.434  0.058  0.247
Pd  0.566  0.942  0.753
Pd  0.624  0.566  0.247
Pd  0.756  0.896  0.266
Pd  0.860  0.756  0.734
Pd  0.896  0.140  0.734
Pd  0.942  0.376  0.247

Peak list (6 most intense, 10° ≤ 2θ ≤ 90°, by intensity)
2θ/deg  d (Å)  intensity
35.15  2.553  100
43.18  2.095  17
27.71  3.220  16
49.00  1.859  15
61.73  1.503  11
73.98  1.281  11

(6)
This entry pairs a crystal structure of Ac2P3Pd5 with its calculated XRD peak list. Radiation: copper Kα. Structure: a crystal structure in Alexandria, relaxed with PBE.

Cell: 8.594 8.594 8.594 Å, 110.32 85.40 137.12°
Atoms (fractional coordinates):
Ac  0.126  0.242  0.368
Ac  0.374  0.742  0.116
Ac  0.626  0.258  0.884
Ac  0.874  0.758  0.632
P  0.121  0.635  0.756
P  0.250  0.250  0.000
P  0.379  0.135  0.514
P  0.621  0.865  0.486
P  0.750  0.750  0.000
P  0.879  0.365  0.244
Pd  0.029  0.750  0.279
Pd  0.115  0.881  0.996
Pd  0.250  0.750  0.500
Pd  0.385  0.381  0.766
Pd  0.471  0.750  0.721
Pd  0.529  0.250  0.279
Pd  0.615  0.619  0.234
Pd  0.750  0.250  0.500
Pd  0.885  0.119  0.004
Pd  0.971  0.250  0.721

Peak list (6 most intense, 10° ≤ 2θ ≤ 90°, by intensity)
2θ/deg  d (Å)  intensity
33.99  2.637  100
40.51  2.227  77
33.88  2.646  76
33.75  2.656  67
21.91  4.056  42
69.54  1.352  29

(7)
This entry pairs a crystal structure of Ac4P3Pd12Pt with its calculated XRD peak list. Radiation: copper Kα. Structure: a crystal structure in Alexandria, relaxed with PBE.

Cell: 8.244 8.244 8.244 Å, 109.47 109.47 109.47°
Atoms (fractional coordinates):
Ac  0.000  0.000  0.500
Ac  0.000  0.500  0.000
Ac  0.500  0.000  0.000
Ac  0.500  0.500  0.500
P  0.000  0.500  0.500
P  0.500  0.000  0.500
P  0.500  0.500  0.000
Pd  0.000  0.268  0.268
Pd  0.000  0.732  0.732
Pd  0.250  0.500  0.750
Pd  0.250  0.750  0.500
Pd  0.268  0.000  0.268
Pd  0.268  0.268  0.000
Pd  0.500  0.250  0.750
Pd  0.500  0.750  0.250
Pd  0.732  0.000  0.732
Pd  0.732  0.732  0.000
Pd  0.750  0.250  0.500
Pd  0.750  0.500  0.250
Pt  0.000  0.000  0.000

Peak list (6 most intense, 10° ≤ 2θ ≤ 90°, by intensity)
2θ/deg  d (Å)  intensity
32.59  2.748  100
37.80  2.380  84
54.53  1.683  57
26.48  3.365  39
64.99  1.435  39
68.26  1.374  19

(8)
This entry pairs a crystal structure of Ac3Sb2PPd9 with its calculated XRD peak list. Radiation: copper Kα. Structure: a crystal structure in Alexandria, relaxed with PBE.

Cell: 7.024 7.024 8.228 Å, 90.00 90.00 120.00°
Atoms (fractional coordinates):
Ac  0.000  0.000  0.000
Ac  0.333  0.667  0.677
Ac  0.667  0.333  0.323
Sb  0.333  0.667  0.205
Sb  0.667  0.333  0.795
P  0.000  0.000  0.500
Pd  0.000  0.500  0.000
Pd  0.137  0.275  0.311
Pd  0.137  0.863  0.311
Pd  0.275  0.137  0.689
Pd  0.500  0.000  0.000
Pd  0.500  0.500  0.000
Pd  0.725  0.863  0.311
Pd  0.863  0.137  0.689
Pd  0.863  0.725  0.689

Peak list (6 most intense, 10° ≤ 2θ ≤ 90°, by intensity)
2θ/deg  d (Å)  intensity
36.75  2.446  100
31.36  2.853  79
25.36  3.512  37
52.08  1.756  32
53.80  1.704  30
32.65  2.743  27

(9)
This entry pairs a crystal structure of Ac3SbP2Pd9 with its calculated XRD peak list. Radiation: copper Kα. Structure: a crystal structure in Alexandria, relaxed with PBE.

Cell: 7.192 7.192 7.391 Å, 90.00 90.00 120.00°
Atoms (fractional coordinates):
Ac  0.000  0.000  0.000
Ac  0.333  0.667  0.672
Ac  0.667  0.333  0.328
Sb  0.000  0.000  0.500
P  0.333  0.667  0.135
P  0.667  0.333  0.865
Pd  0.000  0.500  0.000
Pd  0.187  0.373  0.328
Pd  0.187  0.813  0.328
Pd  0.373  0.187  0.672
Pd  0.500  0.000  0.000
Pd  0.500  0.500  0.000
Pd  0.627  0.813  0.328
Pd  0.813  0.187  0.672
Pd  0.813  0.627  0.672

Peak list (6 most intense, 10° ≤ 2θ ≤ 90°, by intensity)
2θ/deg  d (Å)  intensity
31.17  2.870  100
37.78  2.381  94
50.78  1.798  37
64.11  1.452  27
24.76  3.596  26
58.04  1.589  26

(10)
This entry pairs a crystal structure of Ac3Si2PPd9 with its calculated XRD peak list. Radiation: copper Kα. Structure: a crystal structure in Alexandria, relaxed with PBE.

Cell: 6.634 6.634 8.268 Å, 90.00 90.00 120.00°
Atoms (fractional coordinates):
Ac  0.000  0.000  0.000
Ac  0.333  0.667  0.658
Ac  0.667  0.333  0.342
Si  0.333  0.667  0.184
Si  0.667  0.333  0.816
P  0.000  0.000  0.500
Pd  0.000  0.500  0.000
Pd  0.148  0.295  0.301
Pd  0.148  0.852  0.301
Pd  0.295  0.148  0.699
Pd  0.500  0.000  0.000
Pd  0.500  0.500  0.000
Pd  0.705  0.852  0.301
Pd  0.852  0.148  0.699
Pd  0.852  0.705  0.699

Peak list (6 most intense, 10° ≤ 2θ ≤ 90°, by intensity)
2θ/deg  d (Å)  intensity
33.01  2.713  100
38.15  2.359  81
32.49  2.756  32
55.40  1.658  26
54.71  1.678  24
65.71  1.421  22

(11)
This entry pairs a crystal structure of Ac2SnP3Pd4 with its calculated XRD peak list. Radiation: copper Kα. Structure: a crystal structure in Alexandria, relaxed with PBE.

Cell: 4.356 4.356 10.655 Å, 90.00 90.00 90.00°
Atoms (fractional coordinates):
Ac  0.000  0.500  0.234
Ac  0.500  0.000  0.766
Sn  0.000  0.000  0.500
P  0.000  0.500  0.874
P  0.500  0.000  0.126
P  0.500  0.500  0.500
Pd  0.000  0.000  0.000
Pd  0.000  0.500  0.646
Pd  0.500  0.000  0.354
Pd  0.500  0.500  0.000

Peak list (6 most intense, 10° ≤ 2θ ≤ 90°, by intensity)
2θ/deg  d (Å)  intensity
33.61  2.666  100
41.46  2.178  41
32.53  2.753  41
70.65  1.333  28
47.49  1.915  26
60.11  1.539  22